Entry 1:
Starting from a crystal structure in Alexandria, relaxed with PBE, the powder X-ray diffraction pattern of SrHoMg2Ag4 was simulated for a wavelength of 1.5418 Å.

Most intense lines, 15 to 90 degrees two-theta, low angle first:
| 2θ (°) | d (Å) | I/Imax |
| --- | --- | --- |
| 22.2 | 4.003 | 53.3 |
| 33.1 | 2.707 | 89.3 |
| 37.3 | 2.408 | 100.0 |
| 38.3 | 2.351 | 46.0 |
| 50.7 | 1.799 | 25.9 |
| 64.7 | 1.441 | 24.5 |
| 67.3 | 1.391 | 16.7 |
| 68.0 | 1.379 | 16.3 |

Atomic structure:
```
8
Lattice="2.4084 1.3905 9.4848 -2.4084 1.3905 9.4848 0.0000 -2.7810 9.4848" Properties=species:S:1:pos:R:3 pbc="T T T"
Sr 0.0000 0.0000 0.0000
Ho 0.0000 0.0000 14.2272
Mg 0.0000 0.0000 6.8142
Mg 0.0000 0.0000 21.6403
Ag 0.0000 0.0000 3.3565
Ag 0.0000 0.0000 11.3105
Ag 0.0000 0.0000 17.1439
Ag 0.0000 0.0000 25.0980
```

Entry 2:
Starting from a crystal structure in Alexandria, relaxed with PBE, the powder X-ray diffraction pattern of PmHoMnAg was simulated for a wavelength of 1.5418 Å.

Most intense lines, 15 to 90 degrees two-theta, low angle first:
| 2θ (°) | d (Å) | I/Imax |
| --- | --- | --- |
| 21.2 | 4.199 | 3.4 |
| 24.5 | 3.637 | 10.4 |
| 34.9 | 2.572 | 100.0 |
| 50.2 | 1.818 | 17.5 |
| 56.6 | 1.626 | 4.8 |
| 62.6 | 1.485 | 35.6 |
| 73.7 | 1.286 | 10.9 |
| 84.2 | 1.150 | 15.5 |

Atomic structure:
```
16
Lattice="7.2734 0.0000 0.0000 0.0000 7.2734 0.0000 0.0000 0.0000 7.2734" Properties=species:S:1:pos:R:3 pbc="T T T"
Pm 0.0000 0.0000 0.0000
Pm 0.0000 3.6367 3.6367
Pm 3.6367 0.0000 3.6367
Pm 3.6367 3.6367 0.0000
Ho 0.0000 0.0000 3.6367
Ho 0.0000 3.6367 0.0000
Ho 3.6367 0.0000 0.0000
Ho 3.6367 3.6367 3.6367
Mn 1.8184 1.8184 1.8184
Mn 1.8184 5.4551 5.4551
Mn 5.4551 1.8184 5.4551
Mn 5.4551 5.4551 1.8184
Ag 1.8184 1.8184 5.4551
Ag 1.8184 5.4551 1.8184
Ag 5.4551 1.8184 1.8184
Ag 5.4551 5.4551 5.4551
```

Entry 3:
Starting from a crystal structure in Alexandria, relaxed with PBE, the powder X-ray diffraction pattern of NdHo2Ag3 was simulated for a wavelength of 1.5418 Å.

Most intense lines, 15 to 90 degrees two-theta, low angle first:
| 2θ (°) | d (Å) | I/Imax |
| --- | --- | --- |
| 34.5 | 2.599 | 100.0 |
| 34.9 | 2.572 | 49.8 |
| 49.0 | 1.858 | 8.5 |
| 50.2 | 1.819 | 17.5 |
| 61.6 | 1.506 | 16.8 |
| 62.3 | 1.490 | 35.1 |
| 72.8 | 1.300 | 10.6 |
| 84.2 | 1.150 | 7.8 |

Atomic structure:
```
6
Lattice="3.6376 0.0000 0.0000 0.0000 3.6376 0.0000 0.0000 0.0000 11.1458" Properties=species:S:1:pos:R:3 pbc="T T T"
Nd 0.0000 0.0000 0.0000
Ho 0.0000 0.0000 3.7673
Ho 0.0000 0.0000 7.3786
Ag 1.8188 1.8188 2.0274
Ag 1.8188 1.8188 5.5729
Ag 1.8188 1.8188 9.1184
```